No. 1
Starting from a cell relaxed with GGA-PBE, the powder diffraction line list of Y3Al19Ni5 was calculated for CuKα.
Neutral-atom scattering factors, no anomalous dispersion.

Structural model:
Lattice parameters (Å, degrees): 4.078 15.976 27.074 90.00 90.00 90.00
Space group Cmcm (No. 63)
One atom of each set of equivalent atoms:
1 Y 0.000 0.112 0.250 x4
2 Y 0.000 0.333 0.135 x8
3 Al 0.000 0.037 0.601 x8
4 Al 0.000 0.079 0.702 x8
5 Al 0.000 0.094 0.037 x8
6 Al 0.000 0.129 0.135 x8
7 Al 0.000 0.265 0.029 x8
8 Al 0.000 0.277 0.694 x8
9 Al 0.000 0.291 0.589 x8
10 Al 0.000 0.306 0.250 x4
11 Al 0.000 0.432 0.031 x8
12 Al 0.000 0.465 0.674 x8
13 Ni 0.000 0.159 0.542 x8
14 Ni 0.000 0.446 0.585 x8
15 Ni 0.000 0.454 0.250 x4

Peak list (10 most intense, 2θ from 15° to 90°, low angle first)
| 2θ (°) | Rel. int. | index |
| --- | --- | --- |
| 24.4 | 36.0 | 0 4 3 |
| 30.6 | 49.7 | 1 3 4 |
| 35.7 | 32.0 | 1 5 0 |
| 35.9 | 34.6 | 1 5 1 |
| 37.6 | 100.0 | 1 1 9 |
| 39.5 | 50.4 | 1 5 5 |
| 41.0 | 24.8 | 1 3 9 |
| 42.9 | 22.7 | 1 5 7 |
| 44.4 | 72.5 | 2 0 0 |
| 45.5 | 28.2 | 0 6 9 |

---

No. 2
Starting from a cell relaxed with GGA-PBE, the powder diffraction line list of YAl8Ni3 was calculated for CuKα.
Neutral-atom scattering factors, no anomalous dispersion.

Structural model:
Lattice parameters (Å, degrees): 6.229 4.039 15.730 90.00 90.00 90.00
Space group Amm2 (No. 38)
One atom of each set of equivalent atoms:
1 Y 0.000 0.000 0.000 x2
2 Al 0.000 0.000 0.191 x2
3 Al 0.226 0.000 0.798 x4
4 Al 0.260 0.000 0.621 x4
5 Al 0.294 0.000 0.433 x4
6 Al 0.500 0.000 0.055 x2
7 Ni 0.000 0.000 0.338 x2
8 Ni 0.500 0.000 0.300 x2
9 Ni 0.500 0.000 0.906 x2

Peak list (10 most intense, 2θ from 15° to 90°, low angle first)
| 2θ (°) | Rel. int. | index |
| --- | --- | --- |
| 27.9 | 39.9 | 0 1 3 |
| 28.7 | 23.7 | 2 0 0 |
| 31.4 | 20.7 | 1 1 3 |
| 36.9 | 100.0 | 2 1 1 |
| 37.2 | 39.0 | 1 0 6 |
| 39.1 | 68.5 | 1 1 5 |
| 40.4 | 58.1 | 2 1 3 |
| 44.9 | 47.6 | 0 2 0 |
| 46.8 | 26.2 | 2 1 5 |
| 77.4 | 25.0 | 4 2 0 |

---

No. 3
Starting from a cell relaxed with GGA-PBE, the powder diffraction line list of YbAlNi was calculated for CuKα.
Neutral-atom scattering factors, no anomalous dispersion.

Structural model:
Lattice parameters (Å, degrees): 8.521 5.405 9.174 90.00 90.00 90.00
Space group Amm2 (No. 38)
One atom of each set of equivalent atoms:
1 Yb 0.177 0.000 0.000 x4
2 Yb 0.300 0.000 0.666 x4
3 Al 0.231 0.000 0.330 x4
4 Al 0.500 0.248 0.918 x4
5 Ni 0.000 0.000 0.501 x2
6 Ni 0.000 0.244 0.746 x4
7 Ni 0.500 0.000 0.168 x2

Peak list (10 most intense, 2θ from 15° to 90°, low angle first)
| 2θ (°) | Rel. int. | index |
| --- | --- | --- |
| 19.1 | 30.5 | 0 1 1 |
| 28.4 | 30.8 | 2 1 1 |
| 33.1 | 37.5 | 0 2 0 |
| 33.7 | 56.6 | 0 1 3 |
| 37.1 | 100.0 | 3 1 1 |
| 37.2 | 39.7 | 3 0 2 |
| 39.5 | 34.4 | 2 2 0 |
| 39.9 | 85.1 | 2 1 3 |
| 40.1 | 48.0 | 1 2 2 |
| 68.2 | 24.2 | 5 2 2 |

---

No. 4
Starting from a cell relaxed with GGA-PBE, the powder diffraction line list of Al6ZnNi2 was calculated for CuKα.
Neutral-atom scattering factors, no anomalous dispersion.

Structural model:
Lattice parameters (Å, degrees): 9.037 4.356 7.784 90.00 119.65 90.00
Space group C2/m (No. 12)
One atom of each set of equivalent atoms:
1 Al 0.093 0.000 0.414 x4
2 Al 0.157 0.500 0.675 x4
3 Al 0.179 0.500 0.033 x4
4 Zn 0.000 0.000 0.000 x2
5 Ni 0.108 0.500 0.291 x4

Peak list (10 most intense, 2θ from 15° to 90°, low angle first)
| 2θ (°) | Rel. int. | index |
| --- | --- | --- |
| 19.7 | 56.4 | 2 0 -1 |
| 30.9 | 37.4 | 1 1 -2 |
| 39.7 | 49.2 | 1 1 2 |
| 40.0 | 34.3 | 0 0 3 |
| 40.2 | 51.5 | 3 1 0 |
| 41.0 | 25.7 | 4 0 -1 |
| 41.5 | 59.3 | 0 2 0 |
| 43.2 | 100.0 | 3 1 -3 |
| 59.0 | 21.6 | 0 2 3 |
| 76.8 | 26.5 | 3 3 -3 |

---

No. 5
Starting from a cell relaxed with GGA-PBE, the powder diffraction line list of AlZn2Ni2 was calculated for CuKα.
Neutral-atom scattering factors, no anomalous dispersion.

Structural model:
Lattice parameters (Å, degrees): 4.131 5.361 12.393 90.00 90.00 90.00
Space group Imma (No. 74)
One atom of each set of equivalent atoms:
1 Al 0.000 0.250 0.163 x4
2 Zn 0.000 0.250 0.499 x4
3 Zn 0.000 0.250 0.849 x4
4 Ni 0.000 0.001 0.671 x8

Peak list (10 most intense, 2θ from 15° to 90°, low angle first)
| 2θ (°) | Rel. int. | index |
| --- | --- | --- |
| 18.0 | 7.5 | 0 1 1 |
| 22.7 | 23.4 | 1 0 1 |
| 36.5 | 12.8 | 0 2 2 |
| 42.5 | 13.6 | 1 0 5 |
| 43.8 | 56.4 | 2 0 0 |
| 46.0 | 100.0 | 1 2 3 |
| 63.7 | 16.4 | 2 0 6 |
| 70.2 | 10.7 | 0 4 0 |
| 82.1 | 30.0 | 3 2 3 |
| 86.6 | 18.6 | 2 4 0 |

---

No. 6
Starting from a cell relaxed with GGA-PBE, the powder diffraction line list of AlZn2Ni9 was calculated for CuKα.
Neutral-atom scattering factors, no anomalous dispersion.

Structural model:
Lattice parameters (Å, degrees): 3.573 3.573 10.729 90.00 90.00 90.00
Space group P4/mmm (No. 123)
One atom of each set of equivalent atoms:
1 Al 0.000 0.000 0.000 x1
2 Zn 0.000 0.000 0.333 x2
3 Ni 0.000 0.500 0.165 x4
4 Ni 0.000 0.500 0.500 x2
5 Ni 0.500 0.500 0.000 x1
6 Ni 0.500 0.500 0.333 x2

Peak list (9 most intense, 2θ from 15° to 90°, low angle first)
| 2θ (°) | Rel. int. | index |
| --- | --- | --- |
| 16.5 | 0.9 | 0 0 2 |
| 26.3 | 1.4 | 1 0 1 |
| 30.1 | 1.0 | 1 0 2 |
| 36.5 | 0.6 | 1 1 1 |
| 39.4 | 0.6 | 1 1 2 |
| 42.1 | 0.6 | 0 0 5 |
| 43.9 | 100.0 | 1 1 3 |
| 51.1 | 46.6 | 2 0 0 |
| 75.2 | 27.0 | 2 2 0 |